No. 1
The following is a simulated PXRD pattern of LaIr2Os. It was derived from a crystal structure in Alexandria, relaxed with GGA-PBE, using Cu Kα X-rays.

Cell and atoms:
```
LaIr2Os
1.0
2.822 0.000 0.000
0.000 3.945 0.000
0.000 0.000 6.649
La Ir Os
1 2 1
direct
0.000 0.000 0.000
0.000 0.000 0.482
0.500 0.500 0.711
0.500 0.500 0.324
```

Most intense lines, 10 to 90 degrees two-theta, in order of rising 2θ:
d [Å]	two_theta	intensity
6.649	13.32	44.3
2.542	35.30	97.1
2.295	39.25	100.0
2.151	42.00	60.4
1.973	46.01	32.0
1.932	47.03	15.5
1.454	64.04	35.0
1.234	77.35	20.4

---

No. 2
The following is a simulated PXRD pattern of La5IrOs. It was derived from a crystal structure in Alexandria, relaxed with GGA-PBE, using Cu Kα X-rays.

Cell and atoms:
```
La5IrOs
1.0
5.354 -4.459 0.000
5.354 4.459 0.000
-3.641 0.000 10.049
La Ir Os
10 2 2
direct
0.061 0.727 0.345
0.248 0.752 0.750
0.273 0.939 0.155
0.275 0.369 0.992
0.369 0.275 0.492
0.631 0.725 0.508
0.725 0.631 0.008
0.727 0.061 0.845
0.752 0.248 0.250
0.939 0.273 0.655
0.431 0.569 0.250
0.569 0.431 0.750
0.000 0.500 0.500
0.500 0.000 0.000
```

Most intense lines, 10 to 90 degrees two-theta, in order of rising 2θ:
d [Å]	two_theta	intensity
6.676	13.26	41.0
5.058	17.53	61.0
4.379	20.28	47.5
3.406	26.16	34.6
3.153	28.30	72.6
3.071	29.08	100.0
2.815	31.79	79.3
2.075	43.62	57.2

---

No. 3
The following is a simulated PXRD pattern of La8Ir2OsPd. It was derived from a crystal structure in Alexandria, relaxed with GGA-PBE, using Cu Kα X-rays.

Cell and atoms:
```
La8Ir2OsPd
1.0
6.789 0.000 0.000
0.000 8.654 0.000
-0.007 0.000 6.903
La Ir Os Pd
8 2 1 1
direct
0.220 0.000 0.339
0.227 0.500 0.329
0.272 0.261 0.831
0.272 0.739 0.831
0.728 0.261 0.169
0.728 0.739 0.169
0.773 0.500 0.671
0.780 0.000 0.661
0.000 0.249 0.500
0.000 0.751 0.500
0.500 0.500 0.000
0.500 0.000 0.000
```

Most intense lines, 10 to 90 degrees two-theta, in order of rising 2θ:
d [Å]	two_theta	intensity
4.840	18.33	86.4
3.226	27.65	100.0
3.076	29.03	43.8
2.507	35.81	32.7
2.491	36.06	79.6
2.420	37.15	37.6
2.032	44.60	48.1
1.613	57.10	31.3

---

No. 4
The following is a simulated PXRD pattern of La2P7Ir12. It was derived from a crystal structure in Alexandria, relaxed with GGA-PBE, using Cu Kα X-rays.

Cell and atoms:
```
La2P7Ir12
1.0
9.741 0.000 0.000
-4.870 8.436 0.000
0.000 0.000 3.975
La P Ir
2 7 12
direct
0.000 0.000 0.000
0.333 0.667 0.500
0.073 0.456 0.000
0.264 0.217 0.500
0.383 0.927 0.000
0.544 0.617 0.000
0.667 0.333 0.000
0.783 0.048 0.500
0.952 0.736 0.500
0.049 0.263 0.500
0.116 0.719 0.000
0.214 0.951 0.500
0.281 0.397 0.000
0.401 0.174 0.000
0.511 0.452 0.500
0.548 0.058 0.500
0.603 0.884 0.000
0.737 0.786 0.500
0.774 0.599 0.000
0.826 0.226 0.000
0.942 0.489 0.500
```

Most intense lines, 10 to 90 degrees two-theta, in order of rising 2θ:
d [Å]	two_theta	intensity
3.188	27.98	18.0
2.487	36.11	100.0
2.016	44.96	11.0
1.987	45.65	17.3
1.935	46.95	13.5
1.841	49.52	18.0
1.351	69.61	14.0
1.224	78.11	11.5

---

No. 5
The following is a simulated PXRD pattern of LaPIr5. It was derived from a crystal structure in Alexandria, relaxed with GGA-PBE, using Cu Kα X-rays.

Cell and atoms:
```
LaPIr5
1.0
3.949 0.000 0.000
0.000 3.949 0.000
0.000 0.000 8.239
La P Ir
1 1 5
direct
0.000 0.000 0.000
0.000 0.000 0.500
0.000 0.500 0.291
0.000 0.500 0.709
0.500 0.000 0.291
0.500 0.000 0.709
0.500 0.500 0.500
```

Most intense lines, 10 to 90 degrees two-theta, in order of rising 2θ:
d [Å]	two_theta	intensity
8.239	10.74	40.0
3.561	25.00	26.6
2.792	32.05	13.0
2.311	38.97	100.0
1.975	45.96	37.8
1.958	46.37	22.4
1.396	67.03	12.4
1.195	80.34	25.1

---

No. 6
The following is a simulated PXRD pattern of LaP2IrRh2. It was derived from a crystal structure in Alexandria, relaxed with GGA-PBE, using Cu Kα X-rays.

Cell and atoms:
```
LaP2IrRh2
1.0
5.259 0.000 0.000
0.000 11.217 0.000
0.000 0.000 4.011
La P Ir Rh
2 4 2 4
direct
0.000 0.000 0.000
0.500 0.500 0.500
0.177 0.316 0.000
0.323 0.816 0.500
0.677 0.184 0.500
0.823 0.684 0.000
0.000 0.500 0.000
0.500 0.000 0.500
0.031 0.676 0.500
0.469 0.176 0.000
0.531 0.824 0.000
0.969 0.324 0.500
```

Most intense lines, 10 to 90 degrees two-theta, in order of rising 2θ:
d [Å]	two_theta	intensity
5.609	15.80	16.6
4.761	18.64	25.4
2.772	32.29	100.0
2.629	34.10	27.2
2.106	42.95	35.6
2.005	45.22	18.7
1.895	48.00	13.8
1.544	59.90	20.3

---

No. 7
The following is a simulated PXRD pattern of La4PIrS2. It was derived from a crystal structure in Alexandria, relaxed with GGA-PBE, using Cu Kα X-rays.

Cell and atoms:
```
La4PIrS2
1.0
7.335 0.000 0.000
0.000 4.180 0.000
-2.301 0.000 6.970
La P Ir S
4 1 1 2
direct
0.245 0.000 0.242
0.246 0.500 0.762
0.754 0.500 0.238
0.755 0.000 0.758
0.500 0.000 0.000
0.000 0.500 0.000
0.000 0.000 0.500
0.500 0.500 0.500
```

Most intense lines, 10 to 90 degrees two-theta, in order of rising 2θ:
d [Å]	two_theta	intensity
6.967	12.71	32.4
2.997	29.81	100.0
2.973	30.06	48.4
2.149	42.04	19.2
2.111	42.85	72.4
2.090	43.29	17.9
1.742	52.54	19.6
1.710	53.60	18.7

---

No. 8
The following is a simulated PXRD pattern of La2UP3Ir12. It was derived from a crystal structure in Alexandria, relaxed with GGA-PBE, using Cu Kα X-rays.

Cell and atoms:
```
La2UP3Ir12
1.0
4.074 2.352 6.013
-4.074 2.352 6.013
0.000 -4.704 6.013
La U P Ir
2 1 3 12
direct
0.101 0.101 0.101
0.899 0.899 0.899
0.500 0.500 0.500
0.000 0.500 0.500
0.500 0.000 0.500
0.500 0.500 0.000
0.114 0.636 0.636
0.157 0.157 0.593
0.157 0.593 0.157
0.364 0.364 0.886
0.364 0.886 0.364
0.407 0.843 0.843
0.593 0.157 0.157
0.636 0.114 0.636
0.636 0.636 0.114
0.843 0.407 0.843
0.843 0.843 0.407
0.886 0.364 0.364
```

Most intense lines, 10 to 90 degrees two-theta, in order of rising 2θ:
d [Å]	two_theta	intensity
3.800	23.41	22.7
2.779	32.21	100.0
2.558	35.08	28.0
2.296	39.24	17.7
2.037	44.47	67.2
1.900	47.88	47.4
1.643	55.97	16.3
1.389	67.40	14.7

---

No. 9
The following is a simulated PXRD pattern of La6IrPb. It was derived from a crystal structure in Alexandria, relaxed with GGA-PBE, using Cu Kα X-rays.

Cell and atoms:
```
La6IrPb
1.0
8.443 0.000 0.000
0.000 10.362 0.000
-1.901 0.000 6.404
La Ir Pb
12 2 2
direct
0.104 0.199 0.294
0.104 0.801 0.294
0.206 0.500 0.109
0.294 0.000 0.891
0.396 0.301 0.706
0.396 0.699 0.706
0.604 0.301 0.294
0.604 0.699 0.294
0.706 0.000 0.109
0.794 0.500 0.891
0.896 0.199 0.706
0.896 0.801 0.706
0.000 0.000 0.000
0.500 0.500 0.000
0.000 0.500 0.500
0.500 0.000 0.500
```

Most intense lines, 10 to 90 degrees two-theta, in order of rising 2θ:
d [Å]	two_theta	intensity
4.084	21.76	25.9
3.177	28.09	21.1
3.155	28.29	46.4
3.051	29.27	33.2
2.726	32.86	100.0
2.691	33.30	47.8
2.566	34.97	38.9
1.663	55.24	23.7

---

No. 10
The following is a simulated PXRD pattern of La3Ir7Pd2. It was derived from a crystal structure in Alexandria, relaxed with GGA-PBE, using Cu Kα X-rays.

Cell and atoms:
```
La3Ir7Pd2
1.0
2.696 1.557 8.970
-2.696 1.557 8.970
0.000 -3.114 8.970
La Ir Pd
3 7 2
direct
0.000 0.000 0.000
0.140 0.140 0.140
0.860 0.860 0.860
0.082 0.584 0.584
0.416 0.416 0.918
0.416 0.918 0.416
0.500 0.500 0.500
0.584 0.082 0.584
0.584 0.584 0.082
0.918 0.416 0.416
0.333 0.333 0.333
0.667 0.667 0.667
```

Most intense lines, 10 to 90 degrees two-theta, in order of rising 2θ:
d [Å]	two_theta	intensity
4.602	19.29	24.4
2.729	32.81	25.7
2.327	38.70	46.1
2.311	38.97	100.0
2.242	40.22	32.8
2.142	42.18	53.1
1.348	69.75	30.3
1.155	83.70	24.4

---

No. 11
The following is a simulated PXRD pattern of La3IrPd. It was derived from a crystal structure in Alexandria, relaxed with GGA-PBE, using Cu Kα X-rays.

Cell and atoms:
```
La3IrPd
1.0
7.533 -2.172 0.000
7.533 2.172 0.000
-2.771 0.000 9.541
La Ir Pd
6 2 2
direct
0.030 0.030 0.305
0.311 0.311 0.366
0.357 0.357 0.999
0.643 0.643 0.001
0.689 0.689 0.634
0.970 0.970 0.695
0.164 0.164 0.816
0.836 0.836 0.184
0.334 0.334 0.685
0.666 0.666 0.315
```

Most intense lines, 10 to 90 degrees two-theta, in order of rising 2θ:
d [Å]	two_theta	intensity
7.234	12.23	39.9
3.268	27.29	100.0
3.228	27.64	48.4
3.107	28.73	48.6
2.512	35.75	88.7
2.477	36.27	81.4
2.172	41.58	49.4
2.080	43.52	81.6

---

No. 12
The following is a simulated PXRD pattern of La3IrPd. It was derived from a crystal structure in Alexandria, relaxed with GGA-PBE, using Cu Kα X-rays.

Cell and atoms:
```
La3IrPd
1.0
6.210 0.000 0.000
2.846 6.138 0.000
0.167 1.609 7.620
La Ir Pd
6 2 2
direct
0.065 0.164 0.151
0.271 0.184 0.655
0.419 0.501 0.231
0.581 0.499 0.769
0.729 0.816 0.345
0.935 0.836 0.849
0.400 0.856 0.962
0.600 0.144 0.038
0.207 0.805 0.487
0.793 0.195 0.513
```

Most intense lines, 10 to 90 degrees two-theta, in order of rising 2θ:
d [Å]	two_theta	intensity
2.953	30.26	100.0
2.903	30.80	83.6
2.784	32.15	56.7
2.758	32.46	41.4
2.650	33.83	38.6
2.638	33.98	60.2
2.457	36.58	38.1
2.002	45.30	47.1

---

No. 13
The following is a simulated PXRD pattern of LaPm4Ir3. It was derived from a crystal structure in Alexandria, relaxed with GGA-PBE, using Cu Kα X-rays.

Cell and atoms:
```
LaPm4Ir3
1.0
6.823 -3.621 0.000
6.823 3.621 0.000
-4.065 0.000 9.720
La Pm Ir
2 8 6
direct
0.179 0.821 0.500
0.821 0.179 0.000
0.045 0.374 0.387
0.234 0.560 0.813
0.374 0.045 0.887
0.431 0.788 0.199
0.560 0.234 0.313
0.638 0.971 0.598
0.788 0.431 0.699
0.971 0.638 0.098
0.197 0.201 0.132
0.201 0.197 0.632
0.408 0.409 0.068
0.409 0.408 0.568
0.803 0.806 0.849
0.806 0.803 0.349
```

Most intense lines, 10 to 90 degrees two-theta, in order of rising 2θ:
d [Å]	two_theta	intensity
6.291	14.08	37.8
3.170	28.15	41.1
3.135	28.47	42.7
3.081	28.98	41.7
2.430	36.99	100.0
2.378	37.83	43.3
2.072	43.68	55.3
2.020	44.88	32.1